For Na2Mo2O5, a structure optimized by DFT (GGA+U) gives the simulated X-ray diffraction stick pattern in this record (Cu Kα (λ = 1.5418 Å)).
Peak positions follow from Bragg's law for the DFT cell and can differ from measured ones.

Main lines, by angle (10 to 90 degrees two-theta):
- 2θ = 21.94°, d 4.051, rel. 92
- 2θ = 24.00°, d 3.707, rel. 45
- 2θ = 25.05°, d 3.555, rel. 17
- 2θ = 30.88°, d 2.896, rel. 32
- 2θ = 31.56°, d 2.834, rel. 36
- 2θ = 32.74°, d 2.735, rel. 100
- 2θ = 44.74°, d 2.026, rel. 31
- 2θ = 54.43°, d 1.686, rel. 17
- 2θ = 56.12°, d 1.639, rel. 21
- 2θ = 56.95°, d 1.617, rel. 18

Structural model:
a b c (Å): 8.4499 8.4499 8.4499
angles (deg): 57.31 139.91 140.80
Sites, in units of the cell vectors:
Na (0.0301, 0.1037, 0.1339)
Na (0.0301, 0.3963, 0.4264)
Na (0.9699, 0.6037, 0.5736)
Na (0.9699, 0.8963, 0.8661)
Mo (0.4769, 0.4769, 0.0000)
Mo (0.4769, 0.9769, 0.5000)
Mo (0.5027, 0.8137, 0.1890)
Mo (0.6247, 0.3137, 0.8110)
O (0.0330, 0.6586, 0.8744)
O (0.3746, 0.0975, 0.5596)
O (0.3746, 0.3150, 0.7772)
O (0.4812, 0.2086, 0.2320)
O (0.4812, 0.7492, 0.7727)
O (0.5378, 0.5975, 0.2228)
O (0.5378, 0.8150, 0.4404)
O (0.7842, 0.1586, 0.1256)
O (0.9765, 0.2492, 0.7680)
O (0.9765, 0.7086, 0.2273)